The following is a calculated PXRD pattern of Na4PuO6. It was derived from a DFT-relaxed cell (PBE, Alexandria), using Cu Kα (λ = 1.5418 Å).
Kinematic intensities with the Lorentz-polarization factor, no thermal factor.

Lattice parameters (Å, degrees): 9.7325 9.7325 11.8240 90.00 90.00 120.00
Space group R-3c (No. 167, hexagonal axes)
Symmetry-distinct sites (fractional):
Na1 0.0000 0.0000 0.2500 (multiplicity 6)
Na2 0.0000 0.3287 0.2500 (multiplicity 18)
Pu1 0.0000 0.0000 0.0000 (multiplicity 6)
O1 0.0461 0.1832 0.4022 (multiplicity 36)

The 10 most intense peaks (15° ≤ 2θ ≤ 90°), in order of rising 2θ:
| two_theta | I (rel.) |
| --- | --- |
| 18.28 | 100 |
| 25.96 | 23 |
| 31.88 | 35 |
| 32.09 | 10 |
| 37.15 | 9 |
| 41.54 | 13 |
| 41.68 | 20 |
| 49.58 | 13 |
| 49.72 | 10 |
| 56.77 | 8 |